(1)
This entry pairs a crystal structure of UFe4B with its computed powder diffraction line list. Radiation: λ = 1.5418 Å (Cu Kα). Structure: the GGA-PBE geometry in the Materials Project.

Principal peaks in the range 10° ≤ 2θ ≤ 90°, by angle:
Position (°2θ)  d_spacing  I/Imax  (hkl)
21.1  4.203  42.3  1 0 0
33.6  2.666  100.0  1 0 2
37.0  2.427  34.7  1 1 0
43.0  2.102  56.5  2 0 0
45.7  1.984  83.5  1 1 2
53.1  1.724  12.6  0 0 4
64.6  1.443  31.8  2 1 2
66.5  1.405  15.0  1 1 4
70.7  1.333  19.3  2 0 4
72.9  1.298  20.9  3 0 2
78.9  1.213  14.7  2 2 0
88.5  1.104  14.7  3 1 2

Cell and atoms:
```
data_UFe4B
_symmetry_space_group_name_H-M 'P 6/m m m'
_symmetry_Int_Tables_number 191
_symmetry_space_group_name_Hall '-P 6 2'
_cell_length_a 4.8535
_cell_length_b 4.8535
_cell_length_c 6.8958
_cell_angle_alpha 90.00
_cell_angle_beta 90.00
_cell_angle_gamma 120.00
loop_
_atom_site_label
_atom_site_type_symbol
_atom_site_fract_x
_atom_site_fract_y
_atom_site_fract_z
U1 U 0.0000 0.0000 0.0000
U2 U 0.0000 0.0000 0.5000
Fe1 Fe 0.0000 0.5000 0.2182
Fe2 Fe 0.3333 0.6667 0.5000
B1 B 0.3333 0.6667 0.0000
```

---

(2)
This entry pairs a crystal structure of Fe22B6W with its computed powder diffraction line list. Radiation: λ = 1.5418 Å (Cu Kα). Structure: the GGA-PBE geometry in the Materials Project.

Principal peaks in the range 10° ≤ 2θ ≤ 90°, by angle:
Position (°2θ)  d_spacing  I/Imax  (hkl)
14.5  6.126  15.8  1 1 1
16.7  5.306  12.1  2 0 0
27.9  3.199  12.2  3 1 1
37.9  2.373  47.2  4 2 0
41.7  2.166  51.3  4 2 2
44.4  2.042  100.0  3 3 3
48.5  1.876  32.3  4 4 0
50.9  1.794  29.7  5 3 1
57.6  1.600  14.8  6 2 2
73.6  1.287  13.0  6 4 4
76.1  1.251  30.0  6 6 0
78.0  1.225  13.5  5 5 5

Cell and atoms:
```
data_Fe22B6W
_symmetry_space_group_name_H-M 'F -4 3 m'
_symmetry_Int_Tables_number 216
_symmetry_space_group_name_Hall 'F -4 2 3'
_cell_length_a 10.611
_cell_length_b 10.611
_cell_length_c 10.611
_cell_angle_alpha 90.00
_cell_angle_beta 90.00
_cell_angle_gamma 90.00
loop_
_atom_site_label
_atom_site_type_symbol
_atom_site_fract_x
_atom_site_fract_y
_atom_site_fract_z
Fe1 Fe 0.000 0.000 0.000
Fe2 Fe 0.000 0.171 0.171
Fe3 Fe 0.117 0.117 0.617
Fe4 Fe 0.120 0.120 0.380
Fe5 Fe 0.250 0.250 0.250
B1 B 0.000 0.000 0.276
W1 W 0.250 0.250 0.750
```

---

(3)
This entry pairs a crystal structure of FeB2W2 with its computed powder diffraction line list. Radiation: λ = 1.5418 Å (Cu Kα). Structure: the GGA-PBE geometry in the Materials Project.

Principal peaks in the range 10° ≤ 2θ ≤ 90°, by angle:
Position (°2θ)  d_spacing  I/Imax  (hkl)
27.6  3.234  54.0  0 0 1
31.4  2.845  25.1  2 0 0
35.3  2.545  85.6  2 1 0
35.6  2.521  19.8  1 1 1
42.3  2.136  69.2  2 0 1
45.3  2.000  100.0  2 1 1
50.7  1.800  24.2  3 1 0
56.9  1.617  16.9  0 0 2
67.9  1.380  21.8  4 1 0
68.8  1.365  25.5  2 1 2
74.8  1.269  32.3  4 1 1
77.0  1.239  23.7  3 3 1

Cell and atoms:
```
data_FeB2W2
_symmetry_space_group_name_H-M 'P 4/m b m'
_symmetry_Int_Tables_number 127
_symmetry_space_group_name_Hall '-P 4 2ab'
_cell_length_a 5.691
_cell_length_b 5.691
_cell_length_c 3.234
_cell_angle_alpha 90.00
_cell_angle_beta 90.00
_cell_angle_gamma 90.00
loop_
_atom_site_label
_atom_site_type_symbol
_atom_site_fract_x
_atom_site_fract_y
_atom_site_fract_z
Fe1 Fe 0.000 0.000 0.000
B1 B 0.116 0.384 0.000
W1 W 0.178 0.678 0.500
```

---

(4)
This entry pairs a crystal structure of FeBW with its computed powder diffraction line list. Radiation: λ = 1.5418 Å (Cu Kα). Structure: the GGA-PBE geometry in the Materials Project.

Principal peaks in the range 10° ≤ 2θ ≤ 90°, by angle:
Position (°2θ)  d_spacing  I/Imax  (hkl)
20.2  4.389  21.4  1 0 1
30.8  2.904  83.5  0 1 1
30.9  2.892  43.4  2 0 0
41.1  2.195  22.5  2 0 2
41.8  2.159  100.0  1 1 2
42.0  2.150  26.2  2 1 0
43.2  2.094  60.1  1 0 3
44.2  2.049  78.6  2 1 1
57.3  1.608  21.6  0 2 0
64.5  1.445  20.9  1 1 4
74.4  1.276  24.2  1 2 3
81.6  1.180  19.7  3 1 4

Cell and atoms:
```
data_FeBW
_symmetry_space_group_name_H-M 'P n m a'
_symmetry_Int_Tables_number 62
_symmetry_space_group_name_Hall '-P 2ac 2n'
_cell_length_a 5.784
_cell_length_b 3.216
_cell_length_c 6.740
_cell_angle_alpha 90.00
_cell_angle_beta 90.00
_cell_angle_gamma 90.00
loop_
_atom_site_label
_atom_site_type_symbol
_atom_site_fract_x
_atom_site_fract_y
_atom_site_fract_z
Fe1 Fe 0.143 0.250 0.057
B1 B 0.233 0.750 0.867
W1 W 0.030 0.250 0.676
```

---

(5)
This entry pairs a crystal structure of FeB2W2 with its computed powder diffraction line list. Radiation: λ = 1.5418 Å (Cu Kα). Structure: the GGA-PBE geometry in the Materials Project.

Principal peaks in the range 10° ≤ 2θ ≤ 90°, by angle:
Position (°2θ)  d_spacing  I/Imax  (hkl)
24.8  3.584  38.8  0 0 2
30.8  2.905  20.3  1 0 1
34.3  2.612  61.8  1 1 0
39.3  2.292  40.1  0 2 0
42.7  2.119  43.0  0 1 3
42.8  2.111  100.0  1 1 2
47.1  1.931  18.9  0 2 2
47.6  1.910  15.8  1 0 3
72.3  1.306  26.6  2 2 0
73.7  1.285  18.5  1 3 2
74.7  1.271  16.4  2 1 3
85.6  1.135  19.4  1 2 5

Cell and atoms:
```
data_FeB2W2
_symmetry_space_group_name_H-M 'I m m m'
_symmetry_Int_Tables_number 71
_symmetry_space_group_name_Hall '-I 2 2'
_cell_length_a 3.178
_cell_length_b 4.584
_cell_length_c 7.167
_cell_angle_alpha 90.00
_cell_angle_beta 90.00
_cell_angle_gamma 90.00
loop_
_atom_site_label
_atom_site_type_symbol
_atom_site_fract_x
_atom_site_fract_y
_atom_site_fract_z
Fe1 Fe 0.000 0.000 0.000
B1 B 0.000 0.206 0.500
W1 W 0.000 0.500 0.203
```

---

(6)
This entry pairs a crystal structure of YFe2B2 with its computed powder diffraction line list. Radiation: λ = 1.5418 Å (Cu Kα). Structure: the GGA-PBE geometry in the Materials Project.

Principal peaks in the range 10° ≤ 2θ ≤ 90°, by angle:
Position (°2θ)  d_spacing  I/Imax  (hkl)
26.3  3.382  50.7  1 0 1
37.9  2.372  32.3  1 0 3
38.2  2.354  27.9  0 0 4
40.1  2.251  100.0  1 1 2
50.4  1.812  30.2  2 0 0
57.7  1.597  11.4  2 1 1
64.7  1.440  12.3  2 1 3
64.9  1.436  21.6  2 0 4
70.3  1.338  20.6  1 1 6
74.0  1.281  8.9  2 2 0
86.5  1.125  9.4  2 2 4
87.6  1.114  18.7  3 1 2

Cell and atoms:
```
data_YFe2B2
_symmetry_space_group_name_H-M 'I 4/m m m'
_symmetry_Int_Tables_number 139
_symmetry_space_group_name_Hall '-I 4 2'
_cell_length_a 3.624
_cell_length_b 3.624
_cell_length_c 9.415
_cell_angle_alpha 90.00
_cell_angle_beta 90.00
_cell_angle_gamma 90.00
loop_
_atom_site_label
_atom_site_type_symbol
_atom_site_fract_x
_atom_site_fract_y
_atom_site_fract_z
Y1 Y 0.000 0.000 0.000
Fe1 Fe 0.000 0.500 0.250
B1 B 0.000 0.000 0.339
```

---

(7)
This entry pairs a crystal structure of Y4Fe3B6 with its computed powder diffraction line list. Radiation: λ = 1.5418 Å (Cu Kα). Structure: the GGA-PBE geometry in the Materials Project.

Principal peaks in the range 10° ≤ 2θ ≤ 90°, by angle:
Position (°2θ)  d_spacing  I/Imax  (hkl)
24.3  3.663  24.8  0 0 6
33.5  2.673  100.0  1 1 0
34.5  2.599  26.0  1 0 7
38.1  2.363  20.4  0 1 8
41.8  2.159  54.5  1 1 6
48.9  1.863  9.3  0 2 7
59.9  1.543  22.1  3 0 0
60.6  1.528  9.5  2 1 7
61.4  1.511  11.2  1 1 12
65.7  1.422  9.5  3 0 6
70.5  1.336  10.6  2 2 0
75.8  1.255  8.9  2 2 6

Cell and atoms:
```
data_Y4Fe3B6
_symmetry_space_group_name_H-M 'R -3 m'
_symmetry_Int_Tables_number 166
_symmetry_space_group_name_Hall '-R 3 2"'
_cell_length_a 5.3454
_cell_length_b 5.3454
_cell_length_c 21.9790
_cell_angle_alpha 90.00
_cell_angle_beta 90.00
_cell_angle_gamma 120.00
loop_
_atom_site_label
_atom_site_type_symbol
_atom_site_fract_x
_atom_site_fract_y
_atom_site_fract_z
Y1 Y 0.0000 0.0000 0.0880
Y2 Y 0.0000 0.0000 0.2440
Fe1 Fe 0.0000 0.0000 0.3867
Fe2 Fe 0.0000 0.0000 0.5000
B1 B 0.0000 0.3327 0.0000
```

---

(8)
This entry pairs a crystal structure of Na4Ga3Ge3BH4O12 with its computed powder diffraction line list. Radiation: λ = 1.5418 Å (Cu Kα). Structure: the GGA-PBE geometry in the Materials Project.

Principal peaks in the range 10° ≤ 2θ ≤ 90°, by angle:
Position (°2θ)  d_spacing  I/Imax  (hkl)
13.5  6.535  100.0  1 1 0
19.2  4.621  11.7  2 0 0
23.6  3.773  84.2  2 1 1
30.6  2.923  33.2  3 1 0
33.6  2.668  61.1  2 2 2
36.4  2.470  34.0  3 2 1
41.5  2.178  12.4  4 1 1
50.3  1.813  14.5  4 3 1
56.3  1.634  29.7  4 4 0
58.2  1.585  16.3  5 3 0
61.9  1.499  13.4  5 3 2
67.2  1.393  20.3  6 2 2

Cell and atoms:
```
data_Na4Ga3Ge3BH4O12
_symmetry_space_group_name_H-M 'P -4 3 n'
_symmetry_Int_Tables_number 218
_symmetry_space_group_name_Hall 'P -4n 2 3'
_cell_length_a 9.242
_cell_length_b 9.242
_cell_length_c 9.242
_cell_angle_alpha 90.00
_cell_angle_beta 90.00
_cell_angle_gamma 90.00
loop_
_atom_site_label
_atom_site_type_symbol
_atom_site_fract_x
_atom_site_fract_y
_atom_site_fract_z
Na1 Na 0.171 0.171 0.171
Ga1 Ga 0.000 0.250 0.500
Ge1 Ge 0.000 0.500 0.250
B1 B 0.000 0.000 0.000
H1 H 0.077 0.077 0.923
O1 O 0.081 0.361 0.647
```